[1]
For Li2ThBiSe4, a structure optimized by DFT (GGA-PBE) gives the computed X-ray diffraction stick pattern in this record (λ = 1.5418 Å (Cu Kα)).
Neutral-atom scattering factors, no anomalous dispersion.

Structure:
a b c (Å): 7.0159 4.1398 7.3023
angles (deg): 90.00 110.01 90.00
Space group P2/m (No. 10)
Inequivalent atoms, fractional coordinates:
Li 0.0000 0.0000 0.0000 [1 per cell]
Li 0.0000 0.5000 0.5000 [1 per cell]
Th 0.5000 0.0000 0.5000 [1 per cell]
Bi 0.5000 0.5000 0.0000 [1 per cell]
Se 0.2331 0.5000 0.2459 [2 per cell]
Se 0.2354 0.0000 0.7363 [2 per cell]

Principal peaks in the range 2θ from 10° to 80°, in order of rising 2θ:
(hkl)  Position (°2θ)  I_rel
1 0 0  13.43  88
1 0 -2  24.82  25
0 1 1  25.12  55
2 0 -2  30.51  51
1 1 1  30.68  100
2 1 -1  33.70  30
1 1 -3  43.11  40
0 2 0  43.73  19
3 1 -1  44.50  36
2 2 -2  54.26  20

[2]
For Li3YBi2Se6, a structure optimized by DFT (GGA-PBE) gives the computed X-ray diffraction stick pattern in this record (λ = 1.5418 Å (Cu Kα)).
Neutral-atom scattering factors, no anomalous dispersion.

Structure:
a b c (Å): 7.1403 12.3975 6.9868
angles (deg): 90.00 109.86 90.00
Space group C2/m (No. 12)
Inequivalent atoms, fractional coordinates:
Li 0.0000 0.0000 0.0000 [2 per cell]
Li 0.0000 0.3211 0.0000 [4 per cell]
Y 0.0000 0.5000 0.5000 [2 per cell]
Bi 0.0000 0.1652 0.5000 [4 per cell]
Se 0.2408 0.5000 0.2393 [4 per cell]
Se 0.2504 0.1633 0.2401 [8 per cell]

Principal peaks in the range 2θ from 10° to 80°, in order of rising 2θ:
(hkl)  Position (°2θ)  I_rel
0 0 1  13.47  71
2 0 -1  25.32  61
1 3 1  30.88  100
2 0 -2  30.94  49
1 3 -2  33.85  34
3 3 -1  43.87  57
2 0 2  44.66  53
3 3 0  46.10  21
4 0 0  54.62  29
3 3 3  73.71  24